Structure and theoretical powder diffractogram of Na6MgSi2Ge3P4O24 (a crystal structure in the Materials Project, relaxed with GGA-PBE; Cu Ka).
Peak positions follow from Bragg's law for the DFT cell and can differ from measured ones.

Top 6 peaks for 15° ≤ 2θ ≤ 90°, low angle first:
| Position (°2θ) | I (rel.) | (hkl) |
| --- | --- | --- |
| 20.3 | 787 | 1 0 1 |
| 20.3 | 1000 | 2 -1 0 |
| 28.8 | 482 | 2 0 -2 |
| 32.2 | 762 | -1 2 1 |
| 32.4 | 689 | 1 1 -3 |
| 35.6 | 981 | 0 3 -2 |

Cell and atoms:
```
Na6MgSi2Ge3P4O24
1.0
8.723 0.000 0.000
-4.352 7.564 0.000
-0.045 -5.008 7.175
Na Mg Si Ge P O
6 1 2 3 4 24
Cartesian
0.000 0.000 0.000
-1.356 2.502 1.710
-2.591 5.081 3.443
1.461 2.239 3.240
3.000 0.009 5.227
4.495 2.521 0.259
3.024 -0.023 2.175
1.653 -2.757 7.076
4.284 2.832 3.567
-1.408 2.533 4.879
2.981 5.002 1.259
7.335 -2.530 5.748
-2.650 0.279 7.111
-0.236 -0.324 3.519
0.490 5.008 3.557
1.158 2.471 7.062
-2.781 2.781 3.622
-0.590 -1.193 4.738
-2.356 1.206 5.882
-0.835 1.109 3.600
0.014 -2.595 6.957
-2.068 5.838 1.236
1.299 -0.225 3.497
2.408 -3.459 5.753
1.902 1.323 1.185
-0.322 3.650 3.581
0.339 2.261 5.738
3.863 -1.402 3.500
2.398 -1.285 7.174
1.407 4.810 2.309
4.680 0.131 1.092
3.575 1.414 3.496
2.163 1.280 7.147
5.672 -2.418 4.856
6.404 -3.786 6.985
4.048 3.815 2.222
4.494 0.209 7.126
3.660 3.594 4.876
7.945 -0.945 2.182
6.562 -1.195 6.952
```